Record 1
This entry pairs a crystal structure of P2WO7 with its simulated powder X-ray diffraction pattern. Radiation: copper Kα. Structure: a GGA+U-relaxed structure.

The 10 most intense peaks (10° ≤ 2θ ≤ 90°), by angle:
16.82°, 5.270 Å, I = 100; 19.04°, 4.662 Å, I = 13; 21.60°, 4.114 Å, I = 40; 26.17°, 3.405 Å, I = 21; 28.78°, 3.102 Å, I = 39; 28.93°, 3.087 Å, I = 28; 34.03°, 2.635 Å, I = 22; 37.57°, 2.394 Å, I = 15; 42.47°, 2.129 Å, I = 11; 44.00°, 2.058 Å, I = 11

Cell and atoms:
abc: 5.006 8.313 7.205
angles: 90.00 108.94 90.00
Sites, in units of the cell vectors:
P: 0.093 0.000 0.474
P: 0.278 0.402 0.911
P: 0.722 0.902 0.089
P: 0.907 0.500 0.526
W: 0.292 0.677 0.280
W: 0.708 0.177 0.720
O: 0.086 0.256 0.911
O: 0.099 0.509 0.398
O: 0.099 0.533 0.750
O: 0.221 0.834 0.485
O: 0.317 0.133 0.521
O: 0.371 0.493 0.101
O: 0.471 0.849 0.152
O: 0.529 0.349 0.848
O: 0.629 0.993 0.899
O: 0.683 0.633 0.479
O: 0.779 0.334 0.515
O: 0.901 0.009 0.602
O: 0.901 0.033 0.250
O: 0.914 0.756 0.089

Record 2
This entry pairs a crystal structure of P2WO7 with its simulated powder X-ray diffraction pattern. Radiation: copper Kα. Structure: a GGA+U-relaxed structure.

The 10 most intense peaks (10° ≤ 2θ ≤ 90°), by angle:
13.61°, 6.507 Å, I = 62; 15.02°, 5.900 Å, I = 64; 15.60°, 5.679 Å, I = 100; 19.28°, 4.603 Å, I = 87; 27.39°, 3.257 Å, I = 46; 27.62°, 3.229 Å, I = 49; 28.51°, 3.130 Å, I = 21; 29.54°, 3.024 Å, I = 30; 30.72°, 2.910 Å, I = 86; 37.86°, 2.376 Å, I = 22

Cell and atoms:
abc: 6.503 6.544 7.146
angles: 87.33 65.72 83.88
Sites, in units of the cell vectors:
P: 0.160 0.113 0.147
P: 0.263 0.365 0.752
P: 0.737 0.635 0.248
P: 0.840 0.887 0.853
W: 0.410 0.849 0.711
W: 0.590 0.151 0.289
O: 0.072 0.409 0.693
O: 0.093 0.888 0.715
O: 0.193 0.299 0.989
O: 0.262 0.915 0.022
O: 0.282 0.150 0.283
O: 0.413 0.541 0.730
O: 0.435 0.169 0.629
O: 0.565 0.831 0.371
O: 0.587 0.459 0.270
O: 0.718 0.850 0.717
O: 0.738 0.085 0.978
O: 0.807 0.701 0.011
O: 0.907 0.112 0.285
O: 0.928 0.591 0.307

Record 3
This entry pairs a crystal structure of P2W2O9 with its simulated powder X-ray diffraction pattern. Radiation: copper Kα. Structure: a GGA+U-relaxed structure.

The 10 most intense peaks (10° ≤ 2θ ≤ 90°), by angle:
12.10°, 7.315 Å, I = 100; 12.70°, 6.972 Å, I = 46; 16.49°, 5.377 Å, I = 74; 17.50°, 5.068 Å, I = 49; 18.53°, 4.789 Å, I = 58; 21.38°, 4.155 Å, I = 92; 23.24°, 3.827 Å, I = 50; 30.00°, 2.979 Å, I = 98; 32.62°, 2.745 Å, I = 39; 34.48°, 2.601 Å, I = 37

Cell and atoms:
abc: 14.630 6.589 7.931
angles: 90.00 90.00 90.00
Sites, in units of the cell vectors:
P: 0.062 0.250 0.142
P: 0.189 0.250 0.599
P: 0.311 0.750 0.099
P: 0.438 0.750 0.642
P: 0.562 0.250 0.358
P: 0.689 0.250 0.901
P: 0.811 0.750 0.401
P: 0.938 0.750 0.858
W: 0.000 0.000 0.500
W: 0.000 0.500 0.500
W: 0.128 0.750 0.142
W: 0.372 0.250 0.642
W: 0.500 0.000 0.000
W: 0.500 0.500 0.000
W: 0.628 0.750 0.358
W: 0.872 0.250 0.858
O: 0.012 0.750 0.991
O: 0.017 0.250 0.327
O: 0.047 0.750 0.368
O: 0.121 0.059 0.133
O: 0.121 0.441 0.133
O: 0.126 0.059 0.597
O: 0.126 0.441 0.597
O: 0.237 0.750 0.960
O: 0.250 0.250 0.764
O: 0.250 0.750 0.264
O: 0.263 0.250 0.460
O: 0.374 0.559 0.097
O: 0.374 0.941 0.097
O: 0.379 0.559 0.633
O: 0.379 0.941 0.633
O: 0.453 0.250 0.868
O: 0.483 0.750 0.827
O: 0.488 0.250 0.491
O: 0.512 0.750 0.509
O: 0.517 0.250 0.173
O: 0.547 0.750 0.132
O: 0.621 0.059 0.367
O: 0.621 0.441 0.367
O: 0.626 0.059 0.903
O: 0.626 0.441 0.903
O: 0.737 0.750 0.540
O: 0.750 0.250 0.736
O: 0.750 0.750 0.236
O: 0.763 0.250 0.040
O: 0.874 0.559 0.403
O: 0.874 0.941 0.403
O: 0.879 0.559 0.867
O: 0.879 0.941 0.867
O: 0.953 0.250 0.632
O: 0.983 0.750 0.673
O: 0.988 0.250 0.009

Record 4
This entry pairs a crystal structure of PWO5 with its simulated powder X-ray diffraction pattern. Radiation: copper Kα. Structure: a GGA+U-relaxed structure.

The 10 most intense peaks (10° ≤ 2θ ≤ 90°), by angle:
17.72°, 5.006 Å, I = 79; 17.84°, 4.973 Å, I = 83; 21.83°, 4.072 Å, I = 53; 26.48°, 3.367 Å, I = 100; 28.27°, 3.157 Å, I = 49; 35.91°, 2.501 Å, I = 31; 36.11°, 2.487 Å, I = 27; 40.54°, 2.225 Å, I = 22; 44.52°, 2.035 Å, I = 24; 53.94°, 1.700 Å, I = 22

Cell and atoms:
abc: 5.386 5.408 7.418
angles: 107.10 107.57 97.95
Sites, in units of the cell vectors:
P: 0.169 0.350 0.248
P: 0.831 0.650 0.752
W: 0.500 0.000 0.000
W: 0.500 0.000 0.500
O: 0.126 0.756 0.894
O: 0.213 0.650 0.364
O: 0.230 0.202 0.400
O: 0.353 0.312 0.121
O: 0.426 0.052 0.742
O: 0.574 0.948 0.258
O: 0.647 0.688 0.879
O: 0.770 0.798 0.600
O: 0.787 0.350 0.636
O: 0.874 0.244 0.106

Record 5
This entry pairs a crystal structure of PWO5 with its simulated powder X-ray diffraction pattern. Radiation: copper Kα. Structure: a GGA+U-relaxed structure.

The 10 most intense peaks (10° ≤ 2θ ≤ 90°), by angle:
21.14°, 4.202 Å, I = 100; 22.36°, 3.977 Å, I = 45; 26.94°, 3.309 Å, I = 44; 28.56°, 3.125 Å, I = 21; 33.05°, 2.711 Å, I = 15; 33.84°, 2.649 Å, I = 39; 35.81°, 2.508 Å, I = 20; 40.25°, 2.241 Å, I = 17; 43.06°, 2.100 Å, I = 14; 53.00°, 1.728 Å, I = 17

Cell and atoms:
abc: 5.421 12.501 13.299
angles: 90.00 90.00 90.00
Sites, in units of the cell vectors:
P: 0.235 0.132 0.020
P: 0.235 0.368 0.020
P: 0.265 0.632 0.520
P: 0.265 0.868 0.520
P: 0.735 0.132 0.480
P: 0.735 0.368 0.480
P: 0.765 0.632 0.980
P: 0.765 0.868 0.980
W: 0.243 0.098 0.652
W: 0.243 0.402 0.652
W: 0.257 0.598 0.152
W: 0.257 0.902 0.152
W: 0.743 0.098 0.848
W: 0.743 0.402 0.848
W: 0.757 0.598 0.348
W: 0.757 0.902 0.348
O: 0.014 0.077 0.756
O: 0.014 0.423 0.756
O: 0.015 0.620 0.032
O: 0.015 0.880 0.032
O: 0.046 0.617 0.451
O: 0.046 0.883 0.451
O: 0.247 0.250 0.068
O: 0.249 0.250 0.668
O: 0.250 0.060 0.113
O: 0.250 0.440 0.113
O: 0.250 0.560 0.613
O: 0.250 0.940 0.613
O: 0.251 0.750 0.168
O: 0.253 0.750 0.568
O: 0.454 0.117 0.951
O: 0.454 0.383 0.951
O: 0.485 0.120 0.532
O: 0.485 0.380 0.532
O: 0.486 0.577 0.256
O: 0.486 0.923 0.256
O: 0.514 0.077 0.744
O: 0.514 0.423 0.744
O: 0.515 0.620 0.468
O: 0.515 0.880 0.468
O: 0.546 0.617 0.049
O: 0.546 0.883 0.049
O: 0.747 0.250 0.432
O: 0.749 0.250 0.832
O: 0.750 0.060 0.387
O: 0.750 0.440 0.387
O: 0.750 0.560 0.887
O: 0.750 0.940 0.887
O: 0.751 0.750 0.332
O: 0.753 0.750 0.932
O: 0.954 0.117 0.549
O: 0.954 0.383 0.549
O: 0.985 0.120 0.968
O: 0.985 0.380 0.968
O: 0.986 0.577 0.244
O: 0.986 0.923 0.244